The following is a theoretical PXRD pattern of LaNdB2Pd2Pt6. It was derived from a structure optimized by DFT (GGA-PBE), using Cu Kα (λ = 1.5418 Å).
Peak positions follow from Bragg's law for the DFT cell and can differ from measured ones.

a = 5.5056 Å, b = 5.5056 Å, c = 7.7052 Å
α = 90.00°, β = 90.00°, γ = 120.00°
Space group P6/mmm (No. 191)
Asymmetric unit:
1 La 0.0000 0.0000 0.0000 [1 per cell]
2 Nd 0.0000 0.0000 0.5000 [1 per cell]
3 B 0.3333 0.6667 0.5000 [2 per cell]
4 Pd 0.3333 0.6667 0.0000 [2 per cell]
5 Pt 0.0000 0.5000 0.3012 [6 per cell]

Most intense lines, 5° ≤ 2θ ≤ 70°, in order of rising 2θ:
(1 0 2), 29.82 deg, rel. 48; (0 0 3), 34.93 deg, rel. 31; (2 0 0), 37.73 deg, rel. 100; (2 0 1), 39.57 deg, rel. 23; (1 0 3), 39.87 deg, rel. 18; (1 1 2), 40.27 deg, rel. 65; (2 0 2), 44.70 deg, rel. 41; (2 0 3), 52.36 deg, rel. 32; (3 0 2), 63.30 deg, rel. 17; (2 2 0), 68.13 deg, rel. 29

The following is a theoretical PXRD pattern of LaNdB2Pd6Pt2. It was derived from a structure optimized by DFT (GGA-PBE), using Cu Kα (λ = 1.5418 Å).
Peak positions follow from Bragg's law for the DFT cell and can differ from measured ones.

a = 5.4951 Å, b = 5.4951 Å, c = 7.6766 Å
α = 90.00°, β = 90.00°, γ = 120.00°
Space group P6/mmm (No. 191)
Asymmetric unit:
1 La 0.0000 0.0000 0.0000 [1 per cell]
2 Nd 0.0000 0.0000 0.5000 [1 per cell]
3 B 0.3333 0.6667 0.0000 [2 per cell]
4 Pd 0.0000 0.5000 0.1972 [6 per cell]
5 Pt 0.3333 0.6667 0.5000 [2 per cell]

Most intense lines, 5° ≤ 2θ ≤ 70°, in order of rising 2θ:
(1 0 2), 29.91 deg, rel. 20; (1 1 0), 32.59 deg, rel. 27; (1 1 1), 34.68 deg, rel. 42; (0 0 3), 35.07 deg, rel. 29; (2 0 0), 37.81 deg, rel. 44; (2 0 1), 39.66 deg, rel. 22; (1 1 2), 40.37 deg, rel. 100; (2 0 2), 44.82 deg, rel. 19; (3 0 2), 63.45 deg, rel. 26; (2 2 0), 68.27 deg, rel. 25